1.
Calculated X-ray powder pattern
Compound: AcNbI2
Radiation: Cu Ka
Structure: a cell relaxed with PBE
Kinematic intensities with the Lorentz-polarization factor, no thermal factor.

Crystal structure
Cell: 3.8758 3.8758 32.1454 Å, 90.00 90.00 120.00°
Space group R-3m (No. 166, hexagonal axes)
One atom of each set of equivalent atoms:
Ac 0.0000 0.0000 0.0000 x3
Nb 0.0000 0.0000 0.5000 x3
I 0.0000 0.0000 0.4123 x6

The 8 most intense peaks (10 to 80 degrees two-theta), sorted by position:
two_theta	Rel. int.
27.14	100
30.03	53
33.06	32
33.45	32
34.83	16
38.79	52
46.88	39
58.81	38

2.
Calculated X-ray powder pattern
Compound: AcNdI4
Radiation: Cu Ka
Structure: a cell relaxed with PBE
Kinematic intensities with the Lorentz-polarization factor, no thermal factor.

Crystal structure
Cell: 8.7476 19.0705 7.7754 Å, 90.00 123.95 90.00°
Space group C2/c (No. 15)
One atom of each set of equivalent atoms:
Ac 0.0000 0.0580 0.2500 x4
Nd 0.0000 0.4484 0.7500 x4
I 0.2377 0.3229 0.7489 x8
I 0.2395 0.4229 0.2390 x8

The 8 most intense peaks (10 to 80 degrees two-theta), sorted by position:
two_theta	Rel. int.
16.59	16
27.67	100
37.74	11
39.46	25
39.60	25
41.28	12
47.43	12
57.14	11

Q: Number 2 is which compound?
A: AcNdI4

Q: What is the formula in the first record?
A: AcNbI2

Q: Which formula does entry 2 have?
A: AcNdI4